Entry 1:
This entry pairs a crystal structure of Nd2Al3Pt12Au with its calculated X-ray powder pattern. Radiation: a wavelength of 1.5418 Å. Structure: a GGA-PBE-relaxed structure.
No peak broadening, texture or thermal motion is included.

Top 10 peaks for 2θ = 10–90°, in order of rising 2θ:
two_theta, intensity
22.9, 19
31.5, 100
34.4, 12
43.7, 63
46.7, 50
54.9, 19
65.9, 20
72.6, 15
77.1, 12
82.4, 20

Structure:
```
Nd2Al3Pt12Au
1.0
4.1463 2.3939 6.1654
-4.1463 2.3939 6.1654
0.0000 -4.7877 6.1654
Nd Al Pt Au
2 3 12 1
Direct
0.1102 0.1102 0.1102
0.8898 0.8898 0.8898
0.0000 0.5000 0.5000
0.5000 0.0000 0.5000
0.5000 0.5000 0.0000
0.1102 0.6408 0.6408
0.1344 0.1344 0.6053
0.1344 0.6053 0.1344
0.3592 0.3592 0.8898
0.3592 0.8898 0.3592
0.3947 0.8656 0.8656
0.6053 0.1344 0.1344
0.6408 0.1102 0.6408
0.6408 0.6408 0.1102
0.8656 0.3947 0.8656
0.8656 0.8656 0.3947
0.8898 0.3592 0.3592
0.5000 0.5000 0.5000
```

Entry 2:
This entry pairs a crystal structure of Sr2ZnGa7 with its calculated X-ray powder pattern. Radiation: a wavelength of 1.5418 Å. Structure: a GGA-PBE-relaxed structure.
No peak broadening, texture or thermal motion is included.

Top 10 peaks for 2θ = 10–90°, in order of rising 2θ:
two_theta, intensity
31.9, 53
32.9, 100
40.6, 64
44.0, 30
46.5, 27
52.5, 25
58.8, 31
63.4, 21
69.1, 29
83.3, 14

Structure:
```
Sr2ZnGa7
1.0
4.4427 0.0000 0.0000
0.0000 4.4427 0.0000
0.0000 0.0000 10.8750
Sr Zn Ga
2 1 7
Direct
0.0000 0.5000 0.2465
0.5000 0.0000 0.7535
0.5000 0.5000 0.0000
0.0000 0.0000 0.0000
0.0000 0.0000 0.5000
0.0000 0.5000 0.6354
0.0000 0.5000 0.8701
0.5000 0.0000 0.1299
0.5000 0.0000 0.3646
0.5000 0.5000 0.5000
```

Entry 3:
This entry pairs a crystal structure of Tl8Te6P with its calculated X-ray powder pattern. Radiation: a wavelength of 1.5418 Å. Structure: a GGA-PBE-relaxed structure.
No peak broadening, texture or thermal motion is included.

Top 10 peaks for 2θ = 10–90°, in order of rising 2θ:
two_theta, intensity
22.8, 47
24.7, 65
27.0, 37
30.0, 46
30.3, 46
31.2, 100
33.7, 37
36.1, 32
36.2, 47
40.0, 49

Structure:
```
Tl8Te6P
1.0
9.0158 0.0000 0.0000
0.0000 10.2960 0.0000
0.0000 0.0000 11.9620
Tl Te P
16 12 2
Direct
0.0000 0.1390 0.0000
0.0000 0.2861 0.3718
0.1956 0.5270 0.7916
0.2259 0.6774 0.0612
0.2479 0.9051 0.7259
0.2521 0.0949 0.2259
0.2741 0.3226 0.5612
0.3044 0.4730 0.2916
0.5000 0.7139 0.8718
0.5000 0.8610 0.5000
0.6956 0.4730 0.2916
0.7259 0.3226 0.5612
0.7479 0.0949 0.2259
0.7521 0.9051 0.7259
0.7741 0.6774 0.0612
0.8044 0.5270 0.7916
0.0000 0.0023 0.5510
0.0000 0.4509 0.1290
0.0000 0.5822 0.5536
0.0000 0.8256 0.9035
0.2405 0.7958 0.3124
0.2595 0.2042 0.8124
0.5000 0.1744 0.4035
0.5000 0.4178 0.0536
0.5000 0.5491 0.6290
0.5000 0.9977 0.0510
0.7405 0.2042 0.8124
0.7595 0.7958 0.3124
0.0000 0.7926 0.4344
0.5000 0.2074 0.9344
```

What did the second record say?
This entry pairs a crystal structure of Sr2ZnGa7 with its calculated X-ray powder pattern. Radiation: a wavelength of 1.5418 Å. Structure: a GGA-PBE-relaxed structure.
No peak broadening, texture or thermal motion is included.

Top 10 peaks for 2θ = 10–90°, in order of rising 2θ:
two_theta, intensity
31.9, 53
32.9, 100
40.6, 64
44.0, 30
46.5, 27
52.5, 25
58.8, 31
63.4, 21
69.1, 29
83.3, 14

Structure:
```
Sr2ZnGa7
1.0
4.4427 0.0000 0.0000
0.0000 4.4427 0.0000
0.0000 0.0000 10.8750
Sr Zn Ga
2 1 7
Direct
0.0000 0.5000 0.2465
0.5000 0.0000 0.7535
0.5000 0.5000 0.0000
0.0000 0.0000 0.0000
0.0000 0.0000 0.5000
0.0000 0.5000 0.6354
0.0000 0.5000 0.8701
0.5000 0.0000 0.1299
0.5000 0.0000 0.3646
0.5000 0.5000 0.5000
```

Q: What is the formula in the second record?
A: Sr2ZnGa7